No. 1
Calculated PXRD pattern
Compound: SbPt3
Radiation: Cu Kα (λ = 1.5418 Å)
Structure: a structure optimized by DFT (GGA-PBE)

Most intense lines, 2θ = 15–90°, in order of falling intensity:
two_theta	d (Å)	I/Imax
35.79	2.509	100.0
41.30	2.186	67.5
41.61	2.170	66.1
67.83	1.382	31.5
68.51	1.370	30.6
79.24	1.209	20.6
50.97	1.792	18.5
52.05	1.757	17.4
75.83	1.255	11.5
85.94	1.131	8.6
87.64	1.113	8.2
67.95	1.380	8.2

Cell lengths 4.468, 4.468, 3.584 Å; angles 90.00, 90.00, 103.72 degrees
Fractional coordinates of all 4 atoms:
Sb  0.000  0.000  0.000
Pt  0.000  0.500  0.500
Pt  0.500  0.000  0.500
Pt  0.500  0.500  0.000

No. 2
Calculated PXRD pattern
Compound: KPt2Pb3
Radiation: Cu Kα (λ = 1.5418 Å)
Structure: a structure optimized by DFT (GGA-PBE)

Most intense lines, 2θ = 15–90°, in order of falling intensity:
two_theta	d (Å)	I/Imax
31.66	2.826	100.0
44.32	2.044	40.7
46.42	1.956	32.9
25.61	3.479	22.9
55.48	1.656	20.5
73.61	1.287	18.2
76.71	1.242	14.5
15.68	5.653	13.1
34.84	2.575	12.5
83.09	1.162	12.3
66.12	1.413	11.8
26.91	3.313	11.4

Cell lengths 7.839, 7.839, 7.839 Å; angles 62.86, 62.86, 62.86 degrees
Fractional coordinates of all 12 atoms:
K  0.221  0.221  0.221
K  0.779  0.779  0.779
Pt  0.000  0.000  0.000
Pt  0.000  0.500  0.500
Pt  0.500  0.000  0.500
Pt  0.500  0.500  0.000
Pb  0.252  0.252  0.733
Pb  0.252  0.733  0.252
Pb  0.267  0.748  0.748
Pb  0.733  0.252  0.252
Pb  0.748  0.267  0.748
Pb  0.748  0.748  0.267

No. 3
Calculated PXRD pattern
Compound: Sr2MgTl2
Radiation: Cu Kα (λ = 1.5418 Å)
Structure: a structure optimized by DFT (GGA-PBE)

Most intense lines, 2θ = 15–90°, in order of falling intensity:
two_theta	d (Å)	I/Imax
30.05	2.974	100.0
15.07	5.877	23.8
34.11	2.628	21.5
63.09	1.474	15.9
36.24	2.478	14.8
50.62	1.803	14.1
17.89	4.957	14.1
61.41	1.510	13.3
23.94	3.717	12.9
43.56	2.078	9.6
57.92	1.592	8.8
43.29	2.090	8.7

Cell lengths 8.312, 8.312, 4.957 Å; angles 90.00, 90.00, 90.00 degrees
Fractional coordinates of all 10 atoms:
Sr  0.168  0.332  0.000
Sr  0.332  0.832  0.000
Sr  0.668  0.168  0.000
Sr  0.832  0.668  0.000
Mg  0.000  0.000  0.500
Mg  0.500  0.500  0.500
Tl  0.137  0.637  0.500
Tl  0.363  0.137  0.500
Tl  0.637  0.863  0.500
Tl  0.863  0.363  0.500

No. 4
Calculated PXRD pattern
Compound: Tl3Mo2Cl9
Radiation: Cu Kα (λ = 1.5418 Å)
Structure: a structure optimized by DFT (GGA-PBE)

Most intense lines, 2θ = 15–90°, in order of falling intensity:
two_theta	d (Å)	I/Imax
24.66	3.610	100.0
29.09	3.070	55.3
17.39	5.100	55.0
30.33	2.947	48.2
32.44	2.760	47.8
38.49	2.339	34.2
50.55	1.806	33.3
20.75	4.281	33.1
46.25	1.963	32.6
43.41	2.085	23.8
35.20	2.550	22.1
50.71	1.800	17.5

Cell lengths 7.222, 7.222, 17.614 Å; angles 90.00, 90.00, 120.00 degrees
Fractional coordinates of all 28 atoms:
Tl  0.000  0.000  0.250
Tl  0.000  0.000  0.750
Tl  0.333  0.667  0.054
Tl  0.333  0.667  0.446
Tl  0.667  0.333  0.554
Tl  0.667  0.333  0.946
Mo  0.333  0.667  0.672
Mo  0.333  0.667  0.828
Mo  0.667  0.333  0.172
Mo  0.667  0.333  0.328
Cl  0.005  0.502  0.750
Cl  0.176  0.351  0.592
Cl  0.176  0.351  0.908
Cl  0.176  0.824  0.592
Cl  0.176  0.824  0.908
Cl  0.351  0.176  0.092
Cl  0.351  0.176  0.408
Cl  0.498  0.502  0.750
Cl  0.498  0.995  0.750
Cl  0.502  0.005  0.250
Cl  0.502  0.498  0.250
Cl  0.649  0.824  0.592
Cl  0.649  0.824  0.908
Cl  0.824  0.176  0.092
Cl  0.824  0.176  0.408
Cl  0.824  0.649  0.092
Cl  0.824  0.649  0.408
Cl  0.995  0.498  0.250

No. 5
Calculated PXRD pattern
Compound: Ba7Na4Ir
Radiation: Cu Kα (λ = 1.5418 Å)
Structure: a structure optimized by DFT (GGA-PBE)

Most intense lines, 2θ = 15–90°, in order of falling intensity:
two_theta	d (Å)	I/Imax
25.26	3.525	100.0
30.40	2.941	92.6
41.96	2.153	76.4
15.78	5.615	71.5
28.24	3.160	65.6
15.07	5.880	64.4
26.02	3.424	61.5
29.23	3.055	41.6
20.17	4.402	41.1
48.20	1.888	28.6
51.85	1.763	27.1
44.50	2.036	24.4

Cell lengths 9.383, 9.383, 12.934 Å; angles 113.10, 113.10, 39.37 degrees
Fractional coordinates of all 12 atoms:
Ba  0.000  0.000  0.000
Ba  0.155  0.155  0.518
Ba  0.325  0.325  0.978
Ba  0.438  0.438  0.743
Ba  0.562  0.562  0.257
Ba  0.675  0.675  0.022
Ba  0.845  0.845  0.482
Na  0.088  0.088  0.767
Na  0.254  0.254  0.264
Na  0.746  0.746  0.736
Na  0.912  0.912  0.233
Ir  0.500  0.500  0.000

No. 6
Calculated PXRD pattern
Compound: Ba6Ag2RhO
Radiation: Cu Kα (λ = 1.5418 Å)
Structure: a structure optimized by DFT (GGA-PBE)

Most intense lines, 2θ = 15–90°, in order of falling intensity:
two_theta	d (Å)	I/Imax
26.26	3.394	100.0
26.60	3.352	54.3
34.74	2.582	37.1
31.65	2.827	37.0
31.32	2.856	36.4
25.25	3.527	35.0
33.79	2.653	32.4
26.44	3.371	31.9
28.70	3.110	26.6
25.32	3.517	25.6
31.78	2.816	25.2
39.77	2.266	23.8

Cell lengths 7.732, 8.473, 13.648 Å; angles 90.00, 124.06, 90.00 degrees
Fractional coordinates of all 20 atoms:
Ba  0.130  0.024  0.237
Ba  0.130  0.476  0.737
Ba  0.229  0.697  0.054
Ba  0.229  0.803  0.554
Ba  0.353  0.182  0.050
Ba  0.353  0.318  0.550
Ba  0.647  0.682  0.450
Ba  0.647  0.818  0.950
Ba  0.771  0.197  0.446
Ba  0.771  0.303  0.946
Ba  0.870  0.524  0.263
Ba  0.870  0.976  0.763
Ag  0.292  0.094  0.752
Ag  0.292  0.406  0.252
Ag  0.708  0.594  0.748
Ag  0.708  0.906  0.248
Rh  0.500  0.000  0.500
Rh  0.500  0.500  0.000
O  0.000  0.000  0.000
O  0.000  0.500  0.500